For Ba2AlF7, a DFT-relaxed cell (PBE, Alexandria) gives the simulated XRD peak list in this record (Cu Kα, 1.54184 Å).
No peak broadening, texture or thermal motion is included.

```
Ba2AlF7
1.0
6.1566 -4.1678 0.0000
6.1566 4.1678 0.0000
-5.9781 0.0000 6.5235
Ba Al F
4 2 14
Cartesian
0.6239 1.3053 1.4309 Ba
-2.3652 -1.3053 4.6927 Ba
8.7003 1.3053 1.8308 Ba
5.7112 -1.3053 5.0926 Ba
4.6621 0.7235 1.6309 Al
1.6730 -0.7235 4.8927 Al
-1.3188 0.6991 3.2420 F
3.2503 1.7103 1.8785 F
-4.3078 -0.6991 6.5038 F
-1.5326 0.6684 6.3563 F
1.6730 1.0385 4.8927 F
6.0738 1.7103 1.3833 F
1.4565 -0.6684 3.0945 F
4.8786 0.6684 3.4290 F
0.2613 -1.7103 5.1403 F
4.6621 -1.0385 1.6309 F
7.8677 -0.6684 0.1672 F
10.6429 0.6991 0.0197 F
3.0848 -1.7103 4.6451 F
7.6539 -0.6991 3.2815 F
```

Principal peaks in the range 5 to 70 degrees two-theta, low angle first:
- 20.10 deg, intensity 16
- 24.02 deg, intensity 17
- 24.97 deg, intensity 42
- 25.34 deg, intensity 100
- 27.34 deg, intensity 26
- 31.45 deg, intensity 18
- 32.24 deg, intensity 15
- 38.26 deg, intensity 25
- 39.89 deg, intensity 19
- 44.26 deg, intensity 16

For BaAlF5, a DFT-relaxed cell (PBE, Alexandria) gives the simulated XRD peak list in this record (Cu Kα, 1.54184 Å).
No peak broadening, texture or thermal motion is included.

```
BaAlF5
1.0
5.2605 0.0000 0.0000
0.0000 19.8715 0.0000
-4.8701 0.0000 7.6915
Ba Al F
8 8 40
Cartesian
-0.9645 0.8294 2.0211 Ba
-3.3996 9.1063 5.8669 Ba
1.4416 4.6167 0.1681 Ba
-0.9935 5.3191 4.0139 Ba
1.3839 14.5524 3.6777 Ba
-1.0511 15.2548 7.5234 Ba
3.7900 10.7651 1.8247 Ba
1.3549 19.0421 5.6705 Ba
-3.6157 12.5261 7.4222 Al
-1.1807 17.2811 3.5764 Al
-0.9802 12.0738 4.9711 Al
1.4549 17.7333 1.1253 Al
-1.0645 2.1381 6.5662 Al
1.3706 7.7976 2.7204 Al
1.5711 2.5904 4.1152 Al
4.0061 7.3453 0.2694 Al
-2.4098 12.3737 3.8935 F
0.0253 17.4334 0.0478 F
-0.2207 12.9845 0.6188 F
-2.6558 16.8226 4.4646 F
-3.5198 14.1053 6.5396 F
-1.0847 15.7019 2.6938 F
-2.6031 1.8503 5.5151 F
-0.1680 8.0854 1.6694 F
1.2374 10.8383 0.4165 F
-1.1977 18.9688 4.2623 F
-1.1606 10.3168 4.6818 F
1.2745 19.4903 0.8360 F
-2.0940 11.9093 6.4631 F
0.3411 17.8979 2.6173 F
0.4837 3.1731 2.8016 F
-1.9514 6.7627 6.6473 F
0.0589 12.2427 3.4943 F
-2.3761 17.5645 7.3401 F
-0.8255 13.8486 5.2745 F
1.6096 15.9586 1.4288 F
-1.2192 3.9129 6.2628 F
1.2159 6.0229 2.4170 F
2.7665 2.3070 0.3515 F
0.3315 7.6287 4.1972 F
2.3418 13.1088 1.0442 F
-0.0933 16.6984 4.8900 F
0.0493 1.9735 5.0742 F
2.4844 7.9622 1.2285 F
-0.8841 0.3811 6.8555 F
1.5510 9.5546 3.0097 F
1.5881 0.9026 3.4292 F
-0.8470 9.0331 7.2750 F
0.5584 11.7861 6.0222 F
2.9935 18.0211 2.1764 F
1.4751 4.1696 4.9977 F
3.9102 5.7662 1.1520 F
3.0462 3.0488 3.2269 F
0.6111 6.8869 7.0727 F
0.3651 2.4380 7.6438 F
2.8002 7.4977 3.7980 F
```

Principal peaks in the range 5 to 70 degrees two-theta, low angle first:
- 21.91 deg, intensity 43
- 24.11 deg, intensity 39
- 24.66 deg, intensity 64
- 24.83 deg, intensity 100
- 24.94 deg, intensity 70
- 34.13 deg, intensity 32
- 38.10 deg, intensity 43
- 38.78 deg, intensity 38
- 40.16 deg, intensity 44
- 42.57 deg, intensity 31

For BaAlInF6, a DFT-relaxed cell (PBE, Alexandria) gives the simulated XRD peak list in this record (Cu Kα, 1.54184 Å).
No peak broadening, texture or thermal motion is included.

```
BaAlInF6
1.0
5.7207 0.0000 0.0000
-2.8603 4.9543 0.0000
0.0000 0.0000 4.8322
Ba Al In F
1 1 1 6
Cartesian
0.0000 0.0000 0.0000 Ba
0.0000 3.3028 1.6467 Al
2.8604 1.6514 2.6486 In
-1.3069 2.5483 0.5918 F
0.0000 1.7520 2.6336 F
-1.3430 4.0783 2.6336 F
1.3069 2.5483 0.5918 F
0.0000 4.8120 0.5918 F
1.3430 4.0783 2.6336 F
```

Principal peaks in the range 5 to 70 degrees two-theta, low angle first:
- 17.90 deg, intensity 13
- 25.75 deg, intensity 100
- 31.27 deg, intensity 45
- 36.26 deg, intensity 13
- 37.21 deg, intensity 15
- 40.94 deg, intensity 71
- 41.59 deg, intensity 14
- 49.38 deg, intensity 18
- 52.40 deg, intensity 25
- 65.24 deg, intensity 12